No. 1
# Na2Zn3Ag2
Simulated powder X-ray diffraction pattern, CuKα. Input: a DFT-relaxed cell (GGA-PBE, Alexandria).
Peak positions follow from Bragg's law for the DFT cell and can differ from measured ones.

Structure:
```
data_Na2Zn3Ag2
_chemical_formula_sum 'Na4 Zn6 Ag4'
_cell_length_a 10.426
_cell_length_b 4.584
_cell_length_c 6.804
_cell_angle_alpha 90.00
_cell_angle_beta 118.46
_cell_angle_gamma 90.00
_symmetry_space_group_name_H-M 'C 1 2/m 1'
_symmetry_Int_Tables_number 12
loop_
_symmetry_equiv_pos_as_xyz
'x,y,z'
'-x,-y,-z'
'-x,y,-z'
'x,-y,z'
'x+1/2,y+1/2,z'
'-x+1/2,-y+1/2,-z'
'-x+1/2,y+1/2,-z'
'x+1/2,-y+1/2,z'
loop_
_atom_site_label
_atom_site_fract_x
_atom_site_fract_y
_atom_site_fract_z
Na1 0.161 0.000 0.270
Zn1 0.000 0.500 0.500
Zn2 0.098 0.500 0.928
Ag1 0.126 0.000 0.728
```

Top 10 peaks for 2θ from 15° to 90°, by intensity:
hkl 2 0 -1, 2θ = 17.91°, d 4.951, I = 100
hkl 0 2 0, 2θ = 39.31°, d 2.292, I = 64
hkl 1 1 2, 2θ = 40.97°, d 2.203, I = 61
hkl 3 1 -2, 2θ = 36.18°, d 2.483, I = 46
hkl 3 1 0, 2θ = 35.30°, d 2.542, I = 31
hkl 1 1 -2, 2θ = 33.10°, d 2.706, I = 31
hkl 1 1 -1, 2θ = 23.55°, d 3.778, I = 30
hkl 5 1 -1, 2θ = 48.71°, d 1.869, I = 24
hkl 1 1 -3, 2θ = 46.19°, d 1.965, I = 23
hkl 2 2 -1, 2θ = 43.51°, d 2.080, I = 20


No. 2
# AcBi5
Simulated powder X-ray diffraction pattern, CuKα. Input: a DFT-relaxed cell (GGA-PBE, Alexandria).
Peak positions follow from Bragg's law for the DFT cell and can differ from measured ones.

Structure:
```
data_AcBi5
_chemical_formula_sum 'Ac2 Bi10'
_cell_length_a 5.141
_cell_length_b 16.437
_cell_length_c 4.712
_cell_angle_alpha 90.00
_cell_angle_beta 90.00
_cell_angle_gamma 90.00
_symmetry_space_group_name_H-M 'C m m m'
_symmetry_Int_Tables_number 65
_symmetry_space_group_name_Hall '-C 2 2'
loop_
_atom_site_label
_atom_site_fract_x
_atom_site_fract_y
_atom_site_fract_z
Ac1 0.000 0.000 0.000
Bi1 0.000 0.182 0.500
Bi2 0.000 0.345 0.000
Bi3 0.000 0.500 0.500
```

Top 10 peaks for 2θ from 15° to 90°, by intensity:
hkl 1 3 1, 2θ = 30.47°, d 2.934, I = 100
hkl 2 0 0, 2θ = 34.90°, d 2.571, I = 18
hkl 0 6 0, 2θ = 32.69°, d 2.739, I = 18
hkl 3 3 1, 2θ = 59.86°, d 1.545, I = 15
hkl 0 0 2, 2θ = 38.20°, d 2.356, I = 15
hkl 1 3 3, 2θ = 64.30°, d 1.449, I = 13
hkl 2 6 0, 2θ = 48.57°, d 1.875, I = 12
hkl 1 9 1, 2θ = 56.97°, d 1.617, I = 12
hkl 2 0 2, 2θ = 52.70°, d 1.737, I = 12
hkl 2 6 2, 2θ = 63.41°, d 1.467, I = 12


No. 3
# Na2NpO6
Simulated powder X-ray diffraction pattern, CuKα. Input: a DFT-relaxed cell (GGA-PBE, Alexandria).
Peak positions follow from Bragg's law for the DFT cell and can differ from measured ones.

Structure:
```
data_Na2NpO6
_chemical_formula_sum 'Na8 Np4 O24'
_cell_length_a 9.164
_cell_length_b 11.819
_cell_length_c 5.830
_cell_angle_alpha 90.00
_cell_angle_beta 93.07
_cell_angle_gamma 90.00
_symmetry_space_group_name_H-M 'C 1 2/c 1'
_symmetry_Int_Tables_number 15
loop_
_symmetry_equiv_pos_as_xyz
'x,y,z'
'-x,-y,-z'
'-x,y,-z+1/2'
'x,-y,z+1/2'
'x+1/2,y+1/2,z'
'-x+1/2,-y+1/2,-z'
'-x+1/2,y+1/2,-z+1/2'
'x+1/2,-y+1/2,z+1/2'
loop_
_atom_site_label
_atom_site_fract_x
_atom_site_fract_y
_atom_site_fract_z
Na1 0.204 0.121 0.134
Np1 0.000 0.419 0.250
O1 0.047 0.040 0.487
O2 0.119 0.462 0.606
O3 0.127 0.308 0.136
```

Top 10 peaks for 2θ from 15° to 90°, by intensity:
hkl 1 1 1, 2θ = 19.98°, d 4.445, I = 100
hkl 2 0 0, 2θ = 19.40°, d 4.575, I = 94
hkl 0 2 1, 2θ = 21.43°, d 4.147, I = 84
hkl 2 2 -1, 2θ = 28.49°, d 3.133, I = 82
hkl 1 3 -1, 2θ = 28.77°, d 3.103, I = 75
hkl 3 3 -1, 2θ = 39.86°, d 2.262, I = 70
hkl 1 3 1, 2θ = 29.34°, d 3.044, I = 68
hkl 2 2 1, 2θ = 29.62°, d 3.016, I = 67
hkl 1 1 -2, 2θ = 32.67°, d 2.741, I = 57
hkl 1 1 2, 2θ = 33.67°, d 2.662, I = 50